Entry 1:
Sm6As2RhSe3: computed powder XRD pattern (a wavelength of 1.5418 Å), based on a structure optimized by DFT (GGA-PBE).
Intensities are scaled so that the largest is 100.

Top 8 peaks for 2θ = 5–70°, low angle first:
- 2θ 26.2, I 8
- 2θ 30.1, I 100
- 2θ 42.7, I 12
- 2θ 43.1, I 24
- 2θ 43.2, I 25
- 2θ 43.5, I 12
- 2θ 53.9, I 13
- 2θ 62.7, I 8

```
Sm6As2RhSe3
1.0
9.1469 -2.0784 0.0000
9.1469 2.0784 0.0000
-2.0006 0.0000 8.2232
Sm As Rh Se
6 2 1 3
direct
0.0011 0.0011 0.2367
0.3309 0.3309 0.4223
0.3398 0.3398 0.9136
0.6602 0.6602 0.0864
0.6691 0.6691 0.5777
0.9989 0.9989 0.7633
0.1662 0.1662 0.3342
0.8338 0.8338 0.6658
0.5000 0.5000 0.0000
0.1699 0.1699 0.8328
0.5000 0.5000 0.5000
0.8301 0.8301 0.1672
```



Entry 2:
SiAs2Rh: computed powder XRD pattern (a wavelength of 1.5418 Å), based on a structure optimized by DFT (GGA-PBE).
Intensities are scaled so that the largest is 100.

Top 8 peaks for 2θ = 5–70°, low angle first:
- 2θ 22.6, I 49
- 2θ 30.9, I 58
- 2θ 32.7, I 83
- 2θ 38.1, I 63
- 2θ 42.3, I 47
- 2θ 47.8, I 100
- 2θ 51.1, I 46
- 2θ 58.2, I 36

```
SiAs2Rh
1.0
4.2742 0.0000 0.0000
0.0000 2.3603 3.5664
0.0000 -2.3603 3.5664
Si As Rh
1 2 1
direct
0.0000 0.0000 0.0000
0.0000 0.6315 0.6315
0.5000 0.2042 0.2042
0.5000 0.8305 0.8305
```



Entry 3:
SmAs3Rh3: computed powder XRD pattern (a wavelength of 1.5418 Å), based on a structure optimized by DFT (GGA-PBE).
Intensities are scaled so that the largest is 100.

Top 8 peaks for 2θ = 5–70°, low angle first:
- 2θ 26.6, I 43
- 2θ 29.8, I 4
- 2θ 32.8, I 100
- 2θ 47.0, I 17
- 2θ 51.1, I 57
- 2θ 54.9, I 25
- 2θ 62.0, I 16
- 2θ 65.4, I 13

```
SmAs3Rh3
1.0
6.6937 0.0000 0.0000
0.0000 6.6937 0.0000
0.0000 0.0000 6.6937
Sm As Rh
2 6 6
direct
0.0000 0.0000 0.0000
0.5000 0.5000 0.5000
0.0000 0.2500 0.5000
0.0000 0.7500 0.5000
0.2500 0.5000 0.0000
0.5000 0.0000 0.2500
0.5000 0.0000 0.7500
0.7500 0.5000 0.0000
0.0000 0.5000 0.2500
0.0000 0.5000 0.7500
0.2500 0.0000 0.5000
0.5000 0.2500 0.0000
0.5000 0.7500 0.0000
0.7500 0.0000 0.5000
```



Entry 4:
Sm3AsRh: computed powder XRD pattern (a wavelength of 1.5418 Å), based on a structure optimized by DFT (GGA-PBE).
Intensities are scaled so that the largest is 100.

Top 8 peaks for 2θ = 5–70°, low angle first:
- 2θ 17.1, I 39
- 2θ 28.1, I 41
- 2θ 34.6, I 85
- 2θ 34.8, I 100
- 2θ 35.2, I 42
- 2θ 35.5, I 67
- 2θ 36.6, I 80
- 2θ 50.4, I 50

```
Sm3AsRh
1.0
5.1820 -8.3590 0.0000
5.1820 8.3590 0.0000
0.0000 0.0000 6.3491
Sm As Rh
12 4 4
direct
0.0674 0.4326 0.7500
0.1183 0.8817 0.7518
0.2488 0.2488 0.5000
0.2512 0.2512 0.0000
0.3817 0.6183 0.2518
0.4326 0.0674 0.2500
0.5674 0.9326 0.7500
0.6183 0.3817 0.7482
0.7488 0.7488 0.0000
0.7512 0.7512 0.5000
0.8817 0.1183 0.2482
0.9326 0.5674 0.2500
0.0699 0.9301 0.2498
0.4301 0.5699 0.7498
0.5699 0.4301 0.2502
0.9301 0.0699 0.7502
0.0979 0.4021 0.2500
0.4021 0.0979 0.7500
0.5979 0.9021 0.2500
0.9021 0.5979 0.7500
```



Entry 5:
SmAs2Rh4: computed powder XRD pattern (a wavelength of 1.5418 Å), based on a structure optimized by DFT (GGA-PBE).
Intensities are scaled so that the largest is 100.

Top 8 peaks for 2θ = 5–70°, low angle first:
- 2θ 34.6, I 100
- 2θ 36.6, I 40
- 2θ 40.2, I 30
- 2θ 43.6, I 51
- 2θ 46.8, I 28
- 2θ 48.3, I 21
- 2θ 64.6, I 30
- 2θ 69.5, I 20

```
SmAs2Rh4
1.0
7.7719 0.0000 0.0000
0.0000 7.7719 0.0000
0.0000 0.0000 3.8812
Sm As Rh
2 4 8
direct
0.0000 0.0000 0.0000
0.5000 0.5000 0.5000
0.2274 0.2274 0.5000
0.2726 0.7274 0.0000
0.7274 0.2726 0.0000
0.7726 0.7726 0.5000
0.0767 0.6672 0.5000
0.1672 0.4233 0.0000
0.3328 0.9233 0.5000
0.4233 0.1672 0.0000
0.5767 0.8328 0.0000
0.6672 0.0767 0.5000
0.8328 0.5767 0.0000
0.9233 0.3328 0.5000
```



Entry 6:
SmTh2As2Rh7: computed powder XRD pattern (a wavelength of 1.5418 Å), based on a structure optimized by DFT (GGA-PBE).
Intensities are scaled so that the largest is 100.

Top 8 peaks for 2θ = 5–70°, low angle first:
- 2θ 28.4, I 27
- 2θ 31.0, I 57
- 2θ 34.8, I 50
- 2θ 35.2, I 40
- 2θ 36.3, I 47
- 2θ 37.2, I 90
- 2θ 44.2, I 100
- 2θ 44.8, I 36

```
SmTh2As2Rh7
1.0
2.9268 -2.8894 0.0000
2.9268 2.8894 0.0000
-1.6629 0.0000 13.2833
Sm Th As Rh
1 2 2 7
direct
0.0000 0.0000 0.0000
0.0915 0.0915 0.3498
0.9085 0.9085 0.6502
0.4299 0.4299 0.7437
0.5701 0.5701 0.2563
0.0438 0.5454 0.1614
0.3321 0.3321 0.5604
0.4546 0.9562 0.8386
0.5000 0.5000 0.0000
0.5454 0.0438 0.1614
0.6679 0.6679 0.4396
0.9562 0.4546 0.8386
```